# Li3NbV2O6
Calculated powder XRD pattern, Cu Kα, 1.54184 Å. Input: the GGA+U geometry in the Materials Project.
Peak positions follow from Bragg's law for the DFT cell and can differ from measured ones.

Atomic structure:
```
12
Lattice="6.6478 -1.4740 0.0000 6.6478 1.4740 0.0000 -1.5683 0.0000 5.9882" Properties=species:S:1:pos:R:3 pbc="T T T"
Li 0.0000 0.0000 0.0000
Li 3.3098 0.0000 4.1008
Li 8.4174 0.0000 1.8874
Nb -0.7842 0.0000 2.9941
V 4.1763 0.0000 0.9478
V 7.5509 0.0000 5.0405
O 1.1876 0.0000 3.5080
O 2.1322 0.0000 0.4673
O 5.4654 0.0000 4.4860
O 6.2618 0.0000 1.5023
O 9.5950 0.0000 5.5209
O 10.5396 0.0000 2.4802
```

The 6 most intense peaks (2θ = 5–70°), low angle first:
2θ/deg, d/Å, Rel. int.
17.5, 5.070, 100
34.9, 2.574, 15
35.4, 2.535, 36
42.2, 2.144, 27
42.3, 2.134, 51
60.8, 1.524, 15

# Li3NbV3O8
Calculated powder XRD pattern, Cu Kα, 1.54184 Å. Input: the GGA+U geometry in the Materials Project.
Peak positions follow from Bragg's law for the DFT cell and can differ from measured ones.

Atomic structure:
```
30
Lattice="6.0993 0.0000 0.0000 -3.0494 5.3033 0.0000 -0.0291 -3.4682 9.9396" Properties=species:S:1:pos:R:3 pbc="T T T"
Li 0.0000 0.0000 0.0000
Li -3.0300 3.5520 4.9460
Li 1.5457 -2.5965 7.5035
Li 3.0558 -3.4408 9.9342
Li 3.1134 -1.7286 4.9629
Li 1.5399 4.4460 2.4084
Nb -1.4492 0.9079 4.9174
Nb 1.5090 2.6678 0.0292
V 0.0277 1.7672 2.4958
V 0.0397 0.0766 7.4378
V 1.5885 0.9226 4.9511
V 3.0956 1.7802 2.4647
V 3.1156 0.0282 7.4838
V 4.5401 -0.8197 9.8557
O -1.5479 2.5448 3.7630
O -1.4618 0.8760 8.5631
O 0.0251 0.0806 3.8467
O 0.0942 -1.5758 8.6998
O -0.0033 1.7084 6.0956
O 0.0765 3.4539 1.1360
O 1.6075 1.0373 1.2091
O 1.5606 -0.6504 6.2670
O 1.5438 0.7974 8.7092
O 2.9332 -1.5979 8.7161
O 1.6292 2.5274 3.7160
O 3.1639 0.1138 3.8043
O 2.9801 3.4482 1.1581
O 3.1469 1.6346 6.1147
O 4.5328 1.0133 1.2853
O 4.6458 -0.6853 6.1842
```

The 6 most intense peaks (2θ = 5–70°), low angle first:
2θ/deg, d/Å, Rel. int.
17.7, 5.006, 100
34.5, 2.603, 16
34.6, 2.594, 27
41.8, 2.162, 22
41.9, 2.156, 44
60.5, 1.529, 18

# Li2NbV3O8
Calculated powder XRD pattern, Cu Kα, 1.54184 Å. Input: the GGA+U geometry in the Materials Project.
Peak positions follow from Bragg's law for the DFT cell and can differ from measured ones.

Atomic structure:
```
28
Lattice="6.0116 0.0000 0.0000 -3.0058 5.2062 0.0000 0.0000 0.0000 9.7665" Properties=species:S:1:pos:R:3 pbc="T T T"
Li 0.0000 0.0000 0.0000
Li 0.0000 0.0000 4.8833
Li 0.0000 3.4708 3.9659
Li 3.0058 1.7354 8.8492
Nb 0.0000 3.4708 9.7471
Nb 3.0058 1.7354 4.8639
V 0.0000 1.7756 7.0529
V -1.4681 4.3184 7.0529
V 1.5377 0.8878 2.1697
V 1.4681 4.3184 7.0529
V 4.4739 0.8878 2.1697
V 3.0058 3.4306 2.1697
O 0.0000 0.0000 3.0833
O 0.0000 0.0000 7.9665
O -1.3318 2.7019 8.3136
O 0.0000 1.7483 0.9729
O -1.4917 4.3320 0.9729
O 0.0000 3.4708 6.0058
O 1.5141 0.8742 5.8561
O 1.3318 2.7019 8.3136
O 0.0000 5.0086 8.3136
O 3.0058 0.1976 3.4304
O 1.6740 2.5043 3.4304
O 1.4917 4.3320 0.9729
O 3.0058 1.7354 1.1225
O 4.4975 0.8742 5.8561
O 3.0058 3.4579 5.8561
O 4.3376 2.5043 3.4304
```

The 6 most intense peaks (2θ = 5–70°), low angle first:
2θ/deg, d/Å, Rel. int.
19.3, 4.594, 100
25.0, 3.562, 30
32.4, 2.760, 38
35.1, 2.560, 49
44.6, 2.033, 33
59.1, 1.562, 31

# Li2NbV3O8
Calculated powder XRD pattern, Cu Kα, 1.54184 Å. Input: the GGA+U geometry in the Materials Project.
Peak positions follow from Bragg's law for the DFT cell and can differ from measured ones.

Atomic structure:
```
56
Lattice="8.5908 0.0000 0.0000 0.0000 8.5908 0.0000 0.0000 0.0000 8.5908" Properties=species:S:1:pos:R:3 pbc="T T T"
Li 8.5898 8.5898 8.5898
Li 0.0010 4.2944 4.2964
Li 2.1487 2.1487 2.1487
Li 2.1467 6.4421 6.4441
Li 4.2964 0.0010 4.2944
Li 4.2944 4.2964 0.0010
Li 6.4441 2.1467 6.4421
Li 6.4421 6.4441 2.1467
Nb 1.0738 7.5170 3.2215
Nb 3.2215 1.0738 7.5170
Nb 5.3692 5.3692 5.3692
Nb 7.5170 3.2215 1.0738
V 1.0329 1.1148 5.3692
V 1.0738 3.2625 7.4760
V 1.1148 5.3692 1.0329
V 3.1806 3.2215 5.3283
V 3.2215 5.3283 3.1806
V 3.2625 7.4760 1.0738
V 5.3283 3.1806 3.2215
V 5.3692 1.0329 1.1148
V 5.4102 7.5170 7.5579
V 7.4760 1.0738 3.2625
V 7.5170 7.5579 5.4102
V 7.5579 5.4102 7.5170
O 0.9485 0.9508 3.2726
O 0.9508 3.2726 0.9485
O 0.9778 5.2732 7.6130
O 1.0228 7.6423 5.2462
O 1.1249 5.4923 3.0962
O 1.1699 3.1255 5.4653
O 1.1969 1.1992 7.4659
O 1.1992 7.4659 1.1969
O 3.0962 1.1249 5.4923
O 3.0985 7.3916 3.1705
O 3.1255 5.4653 1.1699
O 3.1705 3.0985 7.3916
O 3.2726 0.9485 0.9508
O 3.3176 3.3176 3.3176
O 3.3446 5.3182 5.2439
O 3.3469 7.6400 7.5680
O 5.2439 3.3446 5.3182
O 5.2462 1.0228 7.6423
O 5.2732 7.6130 0.9778
O 5.3182 5.2439 3.3446
O 5.4203 7.3939 5.4946
O 5.4653 1.1699 3.1255
O 5.4923 3.0962 1.1249
O 5.4946 5.4203 7.3939
O 7.3916 3.1705 3.0985
O 7.3939 5.4946 5.4203
O 7.4209 7.4209 7.4209
O 7.4659 1.1969 1.1992
O 7.5680 3.3469 7.6400
O 7.6130 0.9778 5.2732
O 7.6400 7.5680 3.3469
O 7.6423 5.2462 1.0228
```

The 6 most intense peaks (2θ = 5–70°), low angle first:
2θ/deg, d/Å, Rel. int.
17.9, 4.960, 100
34.6, 2.590, 50
42.1, 2.148, 57
55.6, 1.653, 21
61.0, 1.519, 35
64.1, 1.452, 15

# Li3NbV2O6
Calculated powder XRD pattern, Cu Kα, 1.54184 Å. Input: the GGA+U geometry in the Materials Project.
Peak positions follow from Bragg's law for the DFT cell and can differ from measured ones.

Atomic structure:
```
24
Lattice="5.9841 0.0000 0.0000 -1.5070 6.5853 0.0000 -2.9592 -1.5817 5.9625" Properties=species:S:1:pos:R:3 pbc="T T T"
Li 0.0000 0.0000 0.0000
Li -2.9796 3.2975 4.0289
Li 1.5009 1.7668 1.8877
Li 2.9921 0.0000 0.0000
Li 0.0169 3.2368 4.0748
Li 4.4974 1.7061 1.9336
Nb -1.3311 5.7849 2.9821
Nb 2.8489 -0.7813 2.9804
V -0.0075 4.1563 0.9978
V -1.4858 0.8837 5.0179
V 3.0036 4.1199 0.9446
V 1.5253 0.8473 4.9647
O -1.4845 -1.0738 4.4011
O -1.5158 3.8129 2.4625
O 0.0317 2.1442 0.4333
O 1.5077 -0.3249 1.3843
O -0.0327 1.1781 3.5305
O -1.4678 2.8399 5.4932
O 2.9856 2.1637 0.4693
O 1.5505 3.8255 2.4320
O 0.0102 5.3285 4.5782
O 1.4862 2.8594 5.5292
O 3.0336 1.1907 3.5000
O 3.0023 6.0774 1.5614
```

The 6 most intense peaks (2θ = 5–70°), low angle first:
2θ/deg, d/Å, Rel. int.
17.6, 5.044, 100
35.0, 2.563, 15
35.2, 2.552, 28
42.0, 2.153, 26
42.2, 2.142, 25
42.6, 2.122, 25

# Li4NbV3O8
Calculated powder XRD pattern, Cu Kα, 1.54184 Å. Input: the GGA+U geometry in the Materials Project.
Peak positions follow from Bragg's law for the DFT cell and can differ from measured ones.

Atomic structure:
```
16
Lattice="5.9975 0.0000 0.0000 -2.9820 5.2122 0.0000 -0.0149 -3.4571 4.9985" Properties=species:S:1:pos:R:3 pbc="T T T"
Li 0.0000 0.0000 0.0000
Li -1.4910 2.6061 0.0000
Li 2.9988 0.0000 0.0000
Li 1.5078 2.6061 0.0000
Nb -0.0074 -1.7285 2.4993
V -1.4984 0.8775 2.4993
V 2.9913 -1.7285 2.4993
V 1.5003 0.8775 2.4993
O -0.0494 -0.0050 3.6933
O -1.4952 2.6160 3.7044
O -1.4761 4.3025 1.3017
O -0.0557 1.7810 1.3732
O 3.0563 -0.0259 3.6253
O 4.4768 -2.5474 3.6968
O 4.4958 -0.8609 1.2942
O 3.0500 1.7601 1.3052
```

The 6 most intense peaks (2θ = 5–70°), low angle first:
2θ/deg, d/Å, Rel. int.
17.7, 4.999, 100
34.9, 2.569, 17
42.2, 2.143, 27
42.3, 2.137, 27
42.4, 2.132, 27
46.2, 1.965, 17

Repeat the third record exactly.
# Li2NbV3O8
Calculated powder XRD pattern, Cu Kα, 1.54184 Å. Input: the GGA+U geometry in the Materials Project.
Peak positions follow from Bragg's law for the DFT cell and can differ from measured ones.

Atomic structure:
```
28
Lattice="6.0116 0.0000 0.0000 -3.0058 5.2062 0.0000 0.0000 0.0000 9.7665" Properties=species:S:1:pos:R:3 pbc="T T T"
Li 0.0000 0.0000 0.0000
Li 0.0000 0.0000 4.8833
Li 0.0000 3.4708 3.9659
Li 3.0058 1.7354 8.8492
Nb 0.0000 3.4708 9.7471
Nb 3.0058 1.7354 4.8639
V 0.0000 1.7756 7.0529
V -1.4681 4.3184 7.0529
V 1.5377 0.8878 2.1697
V 1.4681 4.3184 7.0529
V 4.4739 0.8878 2.1697
V 3.0058 3.4306 2.1697
O 0.0000 0.0000 3.0833
O 0.0000 0.0000 7.9665
O -1.3318 2.7019 8.3136
O 0.0000 1.7483 0.9729
O -1.4917 4.3320 0.9729
O 0.0000 3.4708 6.0058
O 1.5141 0.8742 5.8561
O 1.3318 2.7019 8.3136
O 0.0000 5.0086 8.3136
O 3.0058 0.1976 3.4304
O 1.6740 2.5043 3.4304
O 1.4917 4.3320 0.9729
O 3.0058 1.7354 1.1225
O 4.4975 0.8742 5.8561
O 3.0058 3.4579 5.8561
O 4.3376 2.5043 3.4304
```

The 6 most intense peaks (2θ = 5–70°), low angle first:
2θ/deg, d/Å, Rel. int.
19.3, 4.594, 100
25.0, 3.562, 30
32.4, 2.760, 38
35.1, 2.560, 49
44.6, 2.033, 33
59.1, 1.562, 31